No. 1
# LiTaN
Simulated X-ray powder pattern, copper Kα. Input: a structure optimized by DFT (GGA-PBE).
Lines closer than 0.1° are merged.

Main lines, by angle (2θ = 15–90°):
(hkl)  two_theta  Rel. int.
0 1 1  31.28  77.9
0 0 3  33.50  42.7
1 0 1  34.25  44.8
1 0 -2  34.36  45.4
0 1 2  36.94  78.8
1 1 0  42.61  100.0
1 1 3  58.95  25.1
1 1 -4  59.11  25.0

Cell lengths 2.9960, 3.0599, 8.1593 Å; angles 90.00, 100.38, 90.00 degrees
Space group Pm (No. 6)
Inequivalent atoms, fractional coordinates:
Li1 0.0000 0.0000 0.0000
Li2 0.4136 0.5000 0.8150
Ta1 0.1505 0.5000 0.2753
Ta2 0.7861 0.0000 0.5540
N1 0.2903 0.5000 0.5622
N2 0.5654 0.5000 0.1041



No. 2
# Ce2Pm5Pt4
Simulated X-ray powder pattern, copper Kα. Input: a structure optimized by DFT (GGA-PBE).
Lines closer than 0.1° are merged.

Main lines, by angle (2θ = 15–90°):
(hkl)  two_theta  Rel. int.
1 1 0  23.57  35.9
3 1 1  28.98  100.0
8 0 -1  31.21  69.6
6 0 2  34.41  28.7
1 1 2  35.22  78.6
5 1 -2  39.03  27.9
9 1 1  42.96  64.5
0 2 0  47.61  37.1

Cell lengths 24.7503, 3.8196, 6.9507 Å; angles 90.00, 92.23, 90.00 degrees
Space group C2/m (No. 12)
Inequivalent atoms, fractional coordinates:
Ce1 0.0895 0.0000 0.1523
Pm1 0.0000 0.5000 0.5000
Pm2 0.1348 0.0000 0.6746
Pm3 0.2314 0.0000 0.2325
Pt1 0.0255 0.0000 0.8040
Pt2 0.1689 0.5000 0.9846



No. 3
# La6SiPd2Br3
Simulated X-ray powder pattern, copper Kα. Input: a structure optimized by DFT (GGA-PBE).
Lines closer than 0.1° are merged.

Main lines, by angle (2θ = 15–90°):
(hkl)  two_theta  Rel. int.
2 0 0  25.04  8.6
1 3 1  28.74  100.0
2 0 2  40.54  34.8
3 3 -1  41.64  37.6
2 6 -2  51.33  13.1
4 0 0  51.50  8.6
2 6 2  59.51  11.1
4 6 0  68.23  11.0

Cell lengths 7.5031, 13.0332, 7.7826 Å; angles 90.00, 108.85, 90.00 degrees
Space group C2/m (No. 12)
Inequivalent atoms, fractional coordinates:
La1 0.2407 0.0000 0.2206
La2 0.2407 0.3336 0.2207
Si1 0.0000 0.5000 0.0000
Pd1 0.0000 0.1672 0.0000
Br1 0.0000 0.0000 0.5000
Br2 0.0000 0.3376 0.5000



No. 4
# Mg5Si9
Simulated X-ray powder pattern, copper Kα. Input: a structure optimized by DFT (GGA-PBE).
Lines closer than 0.1° are merged.

Main lines, by angle (2θ = 15–90°):
(hkl)  two_theta  Rel. int.
-1 2 2  30.28  47.4
1 -2 3  33.51  46.0
0 2 2  34.73  61.3
2 1 -2  36.59  57.6
-3 2 1  37.16  72.6
2 -2 3  38.64  100.0
2 1 -3  39.51  56.8
0 3 -2  42.05  58.8

Cell lengths 7.4864, 7.4907, 10.9365 Å; angles 94.72, 98.81, 117.89 degrees
Space group P1 (No. 1)
Inequivalent atoms, fractional coordinates:
Mg1 0.0000 0.0000 0.0000
Mg2 0.0039 0.2346 0.3584
Mg3 0.1286 0.6578 0.9490
Mg4 0.1399 0.8691 0.2420
Mg5 0.2381 0.9615 0.7636
Mg6 0.3869 0.1485 0.5456
Mg7 0.4046 0.5856 0.7644
Mg8 0.6700 0.0004 0.7049
Mg9 0.7240 0.4549 0.1866
Mg10 0.9365 0.4528 0.6393
Si1 0.0370 0.1324 0.6042
Si2 0.0556 0.4462 0.1451
Si3 0.0785 0.2768 0.8210
Si4 0.2872 0.7312 0.5629
Si5 0.3884 0.3463 0.3090
Si6 0.3895 0.3084 0.9535
Si7 0.3982 0.5232 0.1290
Si8 0.4042 0.0607 0.0832
Si9 0.4915 0.6839 0.4317
Si10 0.5527 0.9517 0.3006
Si11 0.5568 0.9082 0.9594
Si12 0.6179 0.3503 0.8068
Si13 0.6737 0.2974 0.4109
Si14 0.7118 0.8447 0.1541
Si15 0.8122 0.7685 0.5676
Si16 0.8236 0.2508 0.9479
Si17 0.8273 0.7015 0.7819
Si18 0.9704 0.6607 0.4273



No. 5
# KPm3Ho2Te6
Simulated X-ray powder pattern, copper Kα. Input: a structure optimized by DFT (GGA-PBE).
Lines closer than 0.1° are merged.

Main lines, by angle (2θ = 15–90°):
(hkl)  two_theta  Rel. int.
1 1 -2  28.18  100.0
2 0 -4  39.76  13.2
7 1 -2  40.22  25.4
5 1 2  40.34  23.7
0 2 0  40.77  12.6
6 2 0  50.31  13.5
2 2 -4  58.27  12.1
8 2 -4  65.88  11.1

Cell lengths 19.5469, 4.4265, 9.0675 Å; angles 90.00, 103.66, 90.00 degrees
Space group C2/m (No. 12)
Inequivalent atoms, fractional coordinates:
K1 0.0000 0.0000 0.0000
Pm1 0.0000 0.0000 0.5000
Pm2 0.1578 0.5000 0.8164
Ho1 0.1665 0.5000 0.3396
Te1 0.0068 0.5000 0.2613
Te2 0.1691 0.0000 0.5757
Te3 0.1745 0.0000 0.0920



No. 6
# Pm5Co2Sb
Simulated X-ray powder pattern, copper Kα. Input: a structure optimized by DFT (GGA-PBE).
Lines closer than 0.1° are merged.

Main lines, by angle (2θ = 15–90°):
(hkl)  two_theta  Rel. int.
2 1 1  26.24  29.5
1 1 4  31.00  33.7
2 1 3  32.33  100.0
2 0 4  35.06  37.4
3 1 0  36.20  63.7
4 2 0  52.16  21.4
0 0 8  54.28  19.8
3 3 4  56.75  22.2

Cell lengths 7.8460, 7.8460, 13.5098 Å; angles 90.00, 90.00, 90.00 degrees
Space group I4/mcm (No. 140)
Inequivalent atoms, fractional coordinates:
Pm1 0.0000 0.0000 0.0000
Pm2 0.1579 0.3421 0.1341
Co1 0.1374 0.3626 0.5000
Sb1 0.0000 0.0000 0.2500



No. 7
# CuSb
Simulated X-ray powder pattern, copper Kα. Input: a structure optimized by DFT (GGA-PBE).
Lines closer than 0.1° are merged.

Main lines, by angle (2θ = 15–90°):
(hkl)  two_theta  Rel. int.
1 0 0  24.81  70.3
1 0 1  39.91  100.0
1 1 0  43.69  49.9
2 0 0  50.89  9.7
2 0 1  60.65  27.9
2 1 1  77.69  26.6
3 0 0  80.26  7.9
1 1 2  80.75  15.5

Cell lengths 4.1435, 4.1435, 2.9077 Å; angles 90.00, 90.00, 120.00 degrees
Space group P-6m2 (No. 187)
Inequivalent atoms, fractional coordinates:
Cu1 0.0000 0.0000 0.0000
Sb1 0.6667 0.3333 0.5000



No. 8
# Rb6TaBi4
Simulated X-ray powder pattern, copper Kα. Input: a structure optimized by DFT (GGA-PBE).
Lines closer than 0.1° are merged.

Main lines, by angle (2θ = 15–90°):
(hkl)  two_theta  Rel. int.
2 0 0  17.60  40.5
2 0 1  20.07  39.0
2 1 1  25.28  86.2
2 0 2  26.16  93.1
3 0 1  28.26  81.8
1 0 3  30.36  100.0
2 2 0  30.73  98.6
3 2 3  49.28  77.6

Cell lengths 11.6396, 11.6396, 9.2449 Å; angles 90.00, 90.00, 120.00 degrees
Space group P6_3mc (No. 186)
Inequivalent atoms, fractional coordinates:
Rb1 0.0591 0.5295 0.0000
Rb2 0.1442 0.2883 0.3163
Ta1 0.3333 0.6667 0.6103
Bi1 0.2019 0.4037 0.7036
Bi2 0.3333 0.6667 0.3108